Simulated powder diffractogram of Fe2CoO6 for CuKα, from DFT lattice parameters and positions (GGA+U).
Kinematic intensities with the Lorentz-polarization factor, no thermal factor.

Structural model:
```
data_Fe2CoO6
_chemical_formula_sum 'Fe6 Co3 O18'
_cell_length_a 8.3954
_cell_length_b 8.3954
_cell_length_c 4.3806
_cell_angle_alpha 90.00
_cell_angle_beta 90.00
_cell_angle_gamma 120.00
_symmetry_space_group_name_H-M 'P 1'
_symmetry_Int_Tables_number 1
loop_
_symmetry_equiv_pos_as_xyz
'x,y,z'
loop_
_atom_site_label
_atom_site_fract_x
_atom_site_fract_y
_atom_site_fract_z
_atom_site_occupancy
Fe1 0.0000 0.3110 0.0000 1
Fe2 0.0000 0.6465 0.5000 1
Fe3 0.3110 0.0000 0.0000 1
Fe4 0.3535 0.3535 0.5000 1
Fe5 0.6465 0.0000 0.5000 1
Fe6 0.6890 0.6890 0.0000 1
Co1 0.0000 0.0000 0.5000 1
Co2 0.3333 0.6667 0.0071 1
Co3 0.6667 0.3333 0.9929 1
O1 0.0983 0.8825 0.2694 1
O2 0.1175 0.2158 0.2694 1
O3 0.1183 0.5428 0.2396 1
O4 0.2158 0.1175 0.7306 1
O5 0.2256 0.4512 0.7727 1
O6 0.2257 0.7744 0.7727 1
O7 0.4245 0.8817 0.2396 1
O8 0.4512 0.2256 0.2273 1
O9 0.4572 0.5755 0.2396 1
O10 0.5428 0.1183 0.7604 1
O11 0.5488 0.7743 0.7727 1
O12 0.5755 0.4572 0.7604 1
O13 0.7744 0.2257 0.2273 1
O14 0.7743 0.5488 0.2273 1
O15 0.7842 0.9017 0.2694 1
O16 0.8825 0.0983 0.7306 1
O17 0.8817 0.4245 0.7604 1
O18 0.9017 0.7842 0.7306 1
```

Principal peaks in the range 15° ≤ 2θ ≤ 90°, by intensity:
Position (°2θ)  I (rel.)  (hkl)
29.47  100.0  1 1 1
56.64  61.0  0 3 2
37.10  39.1  3 0 0
31.99  26.3  0 2 1
23.71  22.3  1 0 1
42.63  22.1  0 3 1
66.87  21.7  3 3 0
48.07  20.9  2 2 1
62.23  16.6  1 4 1
38.68  16.0  2 1 1